No. 1
For CaAc6Pr, a GGA-PBE-relaxed structure gives the simulated powder XRD pattern in this record (Cu Ka).

Most intense lines, 2θ from 15° to 90°, most intense first:
2θ/deg	d [Å]	I (rel.)
27.7	3.222	100
46.0	1.973	39
32.0	2.794	35
54.5	1.684	32
32.2	2.783	17
54.6	1.679	15
57.2	1.611	14
74.1	1.280	13

Structure:
Cell lengths 5.5887, 5.5887, 11.1323 Å; angles 90.00, 90.00, 90.00 degrees
Space group P4/mmm (No. 123)
Asymmetric unit:
1 Ca 0.0000 0.0000 0.0000 x1
2 Ac 0.0000 0.5000 0.2552 x4
3 Ac 0.5000 0.5000 0.0000 x1
4 Ac 0.5000 0.5000 0.5000 x1
5 Pr 0.0000 0.0000 0.5000 x1

---

No. 2
For Ca4AcPr3, a GGA-PBE-relaxed structure gives the simulated powder XRD pattern in this record (Cu Ka).

Most intense lines, 2θ from 15° to 90°, most intense first:
2θ/deg	d [Å]	I (rel.)
28.5	3.136	100
33.0	2.716	51
56.2	1.638	42
47.3	1.920	36
34.0	2.634	31
24.6	3.621	22
76.4	1.246	16
78.8	1.214	15

Structure:
Cell lengths 5.4298, 10.8689, 10.8584 Å; angles 90.00, 90.00, 90.00 degrees
Space group Pmmn (No. 59, origin choice 2)
Asymmetric unit:
1 Ca 0.2500 0.0025 0.1303 x4
2 Ca 0.2500 0.2500 0.8730 x2
3 Ca 0.2500 0.7500 0.8665 x2
4 Ac 0.2500 0.7500 0.3844 x2
5 Pr 0.2500 0.2500 0.3856 x2
6 Pr 0.2500 0.5005 0.6135 x4

---

No. 3
For CaAc4Pr, a GGA-PBE-relaxed structure gives the simulated powder XRD pattern in this record (Cu Ka).

Most intense lines, 2θ from 15° to 90°, most intense first:
2θ/deg	d [Å]	I (rel.)
29.6	3.020	100
28.2	3.168	25
54.6	1.681	24
25.9	3.436	23
50.7	1.799	23
45.7	1.984	20
55.4	1.658	17
38.7	2.329	16

Structure:
Cell lengths 10.1526, 6.8776, 7.4706 Å; angles 90.00, 96.60, 90.00 degrees
Space group P2/c (No. 13)
Asymmetric unit:
1 Ca 0.0000 0.0777 0.2500 x2
2 Ac 0.1716 0.4211 0.9244 x4
3 Ac 0.3363 0.0922 0.5827 x4
4 Pr 0.5000 0.4220 0.2500 x2

---

No. 4
For Ca2Ac3Pr6, a GGA-PBE-relaxed structure gives the simulated powder XRD pattern in this record (Cu Ka).

Most intense lines, 2θ from 15° to 90°, most intense first:
2θ/deg	d [Å]	I (rel.)
32.3	2.773	100
26.3	3.387	40
28.2	3.163	34
31.0	2.885	30
42.4	2.132	23
18.4	4.831	22
56.0	1.643	21
59.6	1.551	20

Structure:
Cell lengths 9.6624, 9.6624, 5.7703 Å; angles 90.00, 90.00, 120.00 degrees
Space group P-62m (No. 189)
Asymmetric unit:
1 Ca 0.3333 0.6667 0.0000 x2
2 Ac 0.0000 0.4438 0.5000 x3
3 Pr 0.0000 0.2188 0.0000 x3
4 Pr 0.0000 0.7889 0.5000 x3

---

No. 5
For Ca4Ac4Pr, a GGA-PBE-relaxed structure gives the simulated powder XRD pattern in this record (Cu Ka).

Most intense lines, 2θ from 15° to 90°, most intense first:
2θ/deg	d [Å]	I (rel.)
27.9	3.194	100
31.8	2.811	40
54.4	1.687	33
46.8	1.941	24
23.5	3.779	23
33.4	2.685	16
18.1	4.897	15
56.4	1.632	14

Structure:
Cell lengths 11.9217, 11.9217, 5.3705 Å; angles 90.00, 90.00, 90.00 degrees
Space group I4/mmm (No. 139)
Asymmetric unit:
1 Ca 0.0000 0.3324 0.0000 x8
2 Ac 0.1617 0.1617 0.5000 x8
3 Pr 0.0000 0.0000 0.0000 x2

---

No. 6
For CaAc8Pr3, a GGA-PBE-relaxed structure gives the simulated powder XRD pattern in this record (Cu Ka).

Most intense lines, 2θ from 15° to 90°, most intense first:
2θ/deg	d [Å]	I (rel.)
27.8	3.210	100
29.2	3.056	99
28.0	3.190	67
31.7	2.821	63
60.6	1.528	35
25.6	3.481	33
49.1	1.857	24
45.5	1.992	24

Structure:
Cell lengths 14.7654, 11.8225, 7.4295 Å; angles 90.00, 120.20, 90.00 degrees
Space group C2/m (No. 12)
Asymmetric unit:
1 Ca 0.0000 0.0000 0.0000 x2
2 Ac 0.0006 0.2747 0.7652 x8
3 Ac 0.2476 0.1675 0.2489 x8
4 Pr 0.0000 0.5000 0.5000 x2
5 Pr 0.2122 0.5000 0.2129 x4